# ZrGa2Ru3
Computed PXRD pattern, CuKα. Input: a cell relaxed with PBE.
Intensities are scaled so that the largest is 100.

Top 10 peaks for 2θ from 15° to 90°, sorted by position:
h k l	2θ/deg	I/Imax
1 0 0	28.2	2
1 0 2	34.5	2
1 1 0	40.3	55
1 0 3	41.2	100
2 0 0	58.3	18
0 0 6	61.2	7
2 1 3	73.8	34
1 1 6	75.8	14
2 2 0	87.0	6
2 0 6	89.5	10

Cell and atoms:
```
data_ZrGa2Ru3
_chemical_formula_sum 'Zr1 Ga2 Ru3'
_cell_length_a 3.168
_cell_length_b 3.168
_cell_length_c 9.091
_cell_angle_alpha 90.00
_cell_angle_beta 90.00
_cell_angle_gamma 90.00
_space_group_name_H-M_alt 'P 4/m m m'
_space_group_IT_number 123
_space_group_name_Hall '-P 4 2'
loop_
_atom_site_label
_atom_site_type_symbol
_atom_site_fract_x
_atom_site_fract_y
_atom_site_fract_z
Zr1 Zr 0.000 0.000 0.000
Ga1 Ga 0.000 0.000 0.340
Ru1 Ru 0.500 0.500 0.181
Ru2 Ru 0.500 0.500 0.500
```

# ZrGaRu
Computed PXRD pattern, CuKα. Input: a cell relaxed with PBE.
Intensities are scaled so that the largest is 100.

Top 10 peaks for 2θ from 15° to 90°, sorted by position:
h k l	2θ/deg	I/Imax
1 1 2	35.1	62
2 1 1	36.1	100
2 0 2	37.1	34
0 2 0	40.6	81
2 1 2	42.5	20
3 0 1	42.8	40
0 1 3	43.4	60
2 2 2	56.2	20
3 2 1	60.5	28
3 1 4	71.5	27

Cell and atoms:
```
data_ZrGaRu
_chemical_formula_sum 'Zr4 Ga4 Ru4'
_cell_length_a 6.640
_cell_length_b 4.443
_cell_length_c 7.083
_cell_angle_alpha 90.00
_cell_angle_beta 90.00
_cell_angle_gamma 90.00
_space_group_name_H-M_alt 'P n m a'
_space_group_IT_number 62
loop_
_space_group_symop_operation_xyz
'x,y,z'
'-x,-y,-z'
'-x+1/2,-y,z+1/2'
'x+1/2,y,-z+1/2'
'x+1/2,-y+1/2,-z+1/2'
'-x+1/2,y+1/2,z+1/2'
'-x,y+1/2,-z'
'x,-y+1/2,z'
loop_
_atom_site_label
_atom_site_type_symbol
_atom_site_fract_x
_atom_site_fract_y
_atom_site_fract_z
Zr1 Zr 0.021 0.250 0.196
Ga1 Ga 0.213 0.250 0.607
Ru1 Ru 0.165 0.750 0.444
```

# Zr2Ga3Ru4
Computed PXRD pattern, CuKα. Input: a cell relaxed with PBE.
Intensities are scaled so that the largest is 100.

Top 10 peaks for 2θ from 15° to 90°, sorted by position:
h k l	2θ/deg	I/Imax
1 0 -3	39.6	100
1 -1 3	39.8	37
1 1 -1	40.0	10
2 -1 0	41.2	35
0 1 3	42.6	27
0 2 -3	53.8	12
-2 2 3	60.6	9
2 0 3	60.8	9
-3 1 3	73.9	15
3 -2 3	74.2	6

Cell and atoms:
```
data_Zr2Ga3Ru4
_chemical_formula_sum 'Zr2 Ga3 Ru4'
_cell_length_a 4.387
_cell_length_b 4.582
_cell_length_c 8.147
_cell_angle_alpha 95.85
_cell_angle_beta 90.19
_cell_angle_gamma 118.60
_space_group_name_H-M_alt 'P -1'
_space_group_IT_number 2
loop_
_space_group_symop_operation_xyz
'x,y,z'
'-x,-y,-z'
loop_
_atom_site_label
_atom_site_type_symbol
_atom_site_fract_x
_atom_site_fract_y
_atom_site_fract_z
Zr1 Zr 0.190 0.376 0.225
Ga1 Ga 0.139 0.284 0.577
Ga2 Ga 0.500 0.000 0.000
Ru1 Ru 0.151 0.303 0.893
Ru2 Ru 0.461 0.926 0.651
```

# GaS2
Computed PXRD pattern, CuKα. Input: a cell relaxed with PBE.
Intensities are scaled so that the largest is 100.

Top 10 peaks for 2θ from 15° to 90°, sorted by position:
h k l	2θ/deg	I/Imax
0 2 0	17.1	60
0 0 2	28.9	23
1 1 1	30.6	65
0 2 2	33.8	39
1 3 1	39.4	100
0 4 2	45.7	34
2 0 0	52.3	60
1 5 1	53.5	23
2 4 2	71.9	17
1 7 3	85.4	15

Cell and atoms:
```
data_GaS2
_chemical_formula_sum 'Ga4 S8'
_cell_length_a 3.500
_cell_length_b 10.363
_cell_length_c 6.179
_cell_angle_alpha 90.00
_cell_angle_beta 90.00
_cell_angle_gamma 90.00
_space_group_name_H-M_alt 'F m m 2'
_space_group_IT_number 42
_space_group_name_Hall 'F 2 -2'
loop_
_atom_site_label
_atom_site_type_symbol
_atom_site_fract_x
_atom_site_fract_y
_atom_site_fract_z
Ga1 Ga 0.000 0.000 0.000
S1 S 0.000 0.139 0.666
```

# GaS8
Computed PXRD pattern, CuKα. Input: a cell relaxed with PBE.
Intensities are scaled so that the largest is 100.

Top 10 peaks for 2θ from 15° to 90°, sorted by position:
h k l	2θ/deg	I/Imax
1 0 -1	15.9	88
1 -1 0	17.3	69
-1 1 1	19.1	100
-2 1 1	28.7	68
0 1 2	31.9	17
1 1 1	32.3	38
0 2 -2	34.5	43
1 1 -3	37.4	17
0 2 2	42.5	18
-3 2 2	47.0	20

Cell and atoms:
```
data_GaS8
_chemical_formula_sum 'Ga1 S8'
_cell_length_a 6.337
_cell_length_b 6.734
_cell_length_c 7.621
_cell_angle_alpha 93.70
_cell_angle_beta 112.20
_cell_angle_gamma 107.11
_space_group_name_H-M_alt 'P -1'
_space_group_IT_number 2
loop_
_space_group_symop_operation_xyz
'x,y,z'
'-x,-y,-z'
loop_
_atom_site_label
_atom_site_type_symbol
_atom_site_fract_x
_atom_site_fract_y
_atom_site_fract_z
Ga1 Ga 0.000 0.000 0.000
S1 S 0.065 0.281 0.827
S2 S 0.319 0.229 0.294
S3 S 0.351 0.527 0.016
S4 S 0.358 0.053 0.500
```

# Tl2GaSbS4
Computed PXRD pattern, CuKα. Input: a cell relaxed with PBE.
Intensities are scaled so that the largest is 100.

Top 10 peaks for 2θ from 15° to 90°, sorted by position:
h k l	2θ/deg	I/Imax
2 1 0	22.2	77
0 2 1	25.3	97
2 1 1	26.5	100
0 0 2	29.0	74
3 1 0	31.4	36
2 2 1	32.2	32
2 1 2	36.8	35
2 3 0	37.2	43
2 3 2	47.8	37
4 0 2	49.9	40

Cell and atoms:
```
data_Tl2GaSbS4
_chemical_formula_sum 'Tl4 Ga2 Sb2 S8'
_cell_length_a 9.071
_cell_length_b 8.564
_cell_length_c 6.165
_cell_angle_alpha 90.00
_cell_angle_beta 90.00
_cell_angle_gamma 90.00
_space_group_name_H-M_alt 'P m n 21'
_space_group_IT_number 31
loop_
_space_group_symop_operation_xyz
'x,y,z'
'-x+1/2,-y,z+1/2'
'-x,y,z'
'x+1/2,-y,z+1/2'
loop_
_atom_site_label
_atom_site_type_symbol
_atom_site_fract_x
_atom_site_fract_y
_atom_site_fract_z
Tl1 Tl 0.214 0.153 0.000
Ga1 Ga 0.000 0.401 0.547
Sb1 Sb 0.000 0.698 0.024
S1 S 0.000 0.422 0.929
S2 S 0.000 0.663 0.431
S3 S 0.204 0.254 0.474
```

# Sc8GaS4
Computed PXRD pattern, CuKα. Input: a cell relaxed with PBE.
Intensities are scaled so that the largest is 100.

Top 10 peaks for 2θ from 15° to 90°, sorted by position:
h k l	2θ/deg	I/Imax
2 0 -3	23.3	18
6 0 -3	31.4	16
2 0 -4	33.2	24
3 1 0	33.4	100
1 1 -3	36.7	22
5 1 -4	39.7	47
8 0 -3	43.7	12
6 0 0	45.0	15
0 2 0	50.8	17
1 1 4	55.0	27

Cell and atoms:
```
data_Sc8GaS4
_chemical_formula_sum 'Sc16 Ga2 S8'
_cell_length_a 17.086
_cell_length_b 3.593
_cell_length_c 12.081
_cell_angle_alpha 90.00
_cell_angle_beta 134.98
_cell_angle_gamma 90.00
_space_group_name_H-M_alt 'C 1 2/m 1'
_space_group_IT_number 12
loop_
_space_group_symop_operation_xyz
'x,y,z'
'-x,-y,-z'
'-x,y,-z'
'x,-y,z'
'x+1/2,y+1/2,z'
'-x+1/2,-y+1/2,-z'
'-x+1/2,y+1/2,-z'
'x+1/2,-y+1/2,z'
loop_
_atom_site_label
_atom_site_type_symbol
_atom_site_fract_x
_atom_site_fract_y
_atom_site_fract_z
Sc1 Sc 0.048 0.000 0.205
Sc2 Sc 0.123 0.500 0.783
Sc3 Sc 0.155 0.500 0.107
Sc4 Sc 0.160 0.500 0.538
Ga1 Ga 0.000 0.000 0.500
S1 S 0.156 0.000 0.963
S2 S 0.192 0.500 0.348
```

# Sc5GaS4
Computed PXRD pattern, CuKα. Input: a cell relaxed with PBE.
Intensities are scaled so that the largest is 100.

Top 10 peaks for 2θ from 15° to 90°, sorted by position:
h k l	2θ/deg	I/Imax
1 0 1	19.9	4
2 0 0	21.3	2
1 2 1	29.3	2
1 3 0	33.9	100
4 2 0	48.7	66
4 2 2	60.7	21
2 6 0	71.4	6
0 0 4	71.5	3
7 1 0	81.4	18
1 3 4	81.5	9

Cell and atoms:
```
data_Sc5GaS4
_chemical_formula_sum 'Sc10 Ga2 S8'
_cell_length_a 8.360
_cell_length_b 8.360
_cell_length_c 5.280
_cell_angle_alpha 90.00
_cell_angle_beta 90.00
_cell_angle_gamma 90.00
_space_group_name_H-M_alt 'I 4/m'
_space_group_IT_number 87
_space_group_name_Hall '-I 4'
loop_
_atom_site_label
_atom_site_type_symbol
_atom_site_fract_x
_atom_site_fract_y
_atom_site_fract_z
Sc1 Sc 0.000 0.000 0.000
Sc2 Sc 0.099 0.302 0.500
Ga1 Ga 0.000 0.000 0.500
S1 S 0.100 0.301 0.000
```

# Sc2Ga2S
Computed PXRD pattern, CuKα. Input: a cell relaxed with PBE.
Intensities are scaled so that the largest is 100.

Top 10 peaks for 2θ from 15° to 90°, sorted by position:
h k l	2θ/deg	I/Imax
1 1 0	18.6	10
1 1 1	27.5	20
2 1 1	36.0	100
0 0 2	40.6	21
3 1 0	42.5	24
4 0 1	58.7	7
3 1 2	60.2	16
4 1 1	60.4	6
2 1 3	70.9	12
5 2 1	79.7	11

Cell and atoms:
```
data_Sc2Ga2S
_chemical_formula_sum 'Sc4 Ga4 S2'
_cell_length_a 6.731
_cell_length_b 6.731
_cell_length_c 4.443
_cell_angle_alpha 90.00
_cell_angle_beta 90.00
_cell_angle_gamma 90.00
_space_group_name_H-M_alt 'P 4/m b m'
_space_group_IT_number 127
_space_group_name_Hall '-P 4 2ab'
loop_
_atom_site_label
_atom_site_type_symbol
_atom_site_fract_x
_atom_site_fract_y
_atom_site_fract_z
Sc1 Sc 0.170 0.330 0.000
Ga1 Ga 0.136 0.636 0.500
S1 S 0.000 0.000 0.000
```

# Sc4GaS3
Computed PXRD pattern, CuKα. Input: a cell relaxed with PBE.
Intensities are scaled so that the largest is 100.

Top 10 peaks for 2θ from 15° to 90°, sorted by position:
h k l	2θ/deg	I/Imax
1 0 1	18.7	9
1 0 3	30.4	4
2 0 0	33.8	100
0 0 4	33.9	49
2 2 0	48.6	98
2 2 4	60.5	32
4 0 0	71.0	10
0 0 8	71.3	5
4 2 0	81.1	27
2 0 8	81.3	13

Cell and atoms:
```
data_Sc4GaS3
_chemical_formula_sum 'Sc8 Ga2 S6'
_cell_length_a 5.307
_cell_length_b 5.307
_cell_length_c 10.575
_cell_angle_alpha 90.00
_cell_angle_beta 90.00
_cell_angle_gamma 90.00
_space_group_name_H-M_alt 'I 4/m m m'
_space_group_IT_number 139
_space_group_name_Hall '-I 4 2'
loop_
_atom_site_label
_atom_site_type_symbol
_atom_site_fract_x
_atom_site_fract_y
_atom_site_fract_z
Sc1 Sc 0.000 0.000 0.247
Sc2 Sc 0.000 0.500 0.000
Ga1 Ga 0.000 0.000 0.500
S1 S 0.000 0.000 0.000
S2 S 0.000 0.500 0.250
```

# Sc6GaS5
Computed PXRD pattern, CuKα. Input: a cell relaxed with PBE.
Intensities are scaled so that the largest is 100.

Top 10 peaks for 2θ from 15° to 90°, sorted by position:
h k l	2θ/deg	I/Imax
1 1 0	16.5	2
1 3 1	34.0	100
2 0 2	48.8	33
0 6 0	48.9	32
4 0 0	60.6	6
0 0 4	60.9	16
2 6 2	71.6	10
3 3 3	81.5	4
4 6 0	81.5	9
1 9 1	81.8	13

Cell and atoms:
```
data_Sc6GaS5
_chemical_formula_sum 'Sc12 Ga2 S10'
_cell_length_a 6.475
_cell_length_b 11.168
_cell_length_c 6.453
_cell_angle_alpha 90.00
_cell_angle_beta 109.37
_cell_angle_gamma 90.00
_space_group_name_H-M_alt 'C 1 2/m 1'
_space_group_IT_number 12
loop_
_space_group_symop_operation_xyz
'x,y,z'
'-x,-y,-z'
'-x,y,-z'
'x,-y,z'
'x+1/2,y+1/2,z'
'-x+1/2,-y+1/2,-z'
'-x+1/2,y+1/2,-z'
'x+1/2,-y+1/2,z'
loop_
_atom_site_label
_atom_site_type_symbol
_atom_site_fract_x
_atom_site_fract_y
_atom_site_fract_z
Sc1 Sc 0.248 0.000 0.249
Sc2 Sc 0.249 0.168 0.749
Ga1 Ga 0.000 0.500 0.000
S1 S 0.000 0.000 0.500
S2 S 0.000 0.167 0.000
S3 S 0.000 0.333 0.500
```

# GaSeS2
Computed PXRD pattern, CuKα. Input: a cell relaxed with PBE.
Intensities are scaled so that the largest is 100.

Top 10 peaks for 2θ from 15° to 90°, sorted by position:
h k l	2θ/deg	I/Imax
0 1 -1	18.9	53
0 0 3	24.3	100
1 -1 0	27.0	63
1 -1 1	28.2	61
1 0 -2	28.6	40
0 0 4	32.6	51
1 1 0	36.1	57
1 0 4	44.5	46
1 0 -5	46.0	41
0 2 -5	51.3	53

Cell and atoms:
```
data_GaSeS2
_chemical_formula_sum 'Ga2 Se2 S4'
_cell_length_a 3.642
_cell_length_b 5.056
_cell_length_c 11.202
_cell_angle_alpha 98.43
_cell_angle_beta 94.49
_cell_angle_gamma 105.88
_space_group_name_H-M_alt 'P -1'
_space_group_IT_number 2
loop_
_space_group_symop_operation_xyz
'x,y,z'
'-x,-y,-z'
loop_
_atom_site_label
_atom_site_type_symbol
_atom_site_fract_x
_atom_site_fract_y
_atom_site_fract_z
Ga1 Ga 0.169 0.291 0.239
Se1 Se 0.132 0.247 0.016
S1 S 0.246 0.428 0.663
S2 S 0.323 0.011 0.696
```